For BaS4O8, DFT lattice parameters and positions (PBE) gives the theoretical powder diffractogram in this record (Cu Ka).

Atomic structure:
Unit cell a=5.5652 b=9.3910 c=19.8939 alpha=90.00 beta=95.69 gamma=90.00
Space group P2_1/c (No. 14)
One atom of each set of equivalent atoms:
Ba1 0.2465 0.1031 0.1379 x4
S1 0.1597 0.5489 0.1180 x4
S2 0.1857 0.6917 0.2155 x4
S3 0.3081 0.7159 0.5002 x4
S4 0.4576 0.6240 0.0723 x4
O1 0.0587 0.1792 0.2640 x4
O2 0.1345 0.7147 0.9508 x4
O3 0.2026 0.6067 0.5398 x4
O4 0.2296 0.0944 0.6455 x4
O5 0.2529 0.5268 0.3706 x4
O6 0.2543 0.6671 0.6938 x4
O7 0.3712 0.6161 0.2597 x4
O8 0.4597 0.1810 0.0242 x4

Most intense lines, 15 to 90 degrees two-theta, low angle first:
2θ/deg	I_rel
17.56	39
19.13	100
19.43	79
24.79	52
26.16	38
27.05	15
29.12	29
32.33	19
32.89	18
42.50	16

=====

For Ho5Co2Bi, DFT lattice parameters and positions (PBE) gives the theoretical powder diffractogram in this record (Cu Ka).

Atomic structure:
Unit cell a=7.5137 b=7.5137 c=14.1868 alpha=90.00 beta=90.00 gamma=90.00
Space group I4/mcm (No. 140)
One atom of each set of equivalent atoms:
Ho1 0.0000 0.0000 0.0000 x4
Ho2 0.1611 0.3389 0.1267 x16
Co1 0.1338 0.3662 0.5000 x8
Bi1 0.0000 0.0000 0.2500 x4

Most intense lines, 15 to 90 degrees two-theta, low angle first:
2θ/deg	I_rel
27.27	50
30.30	72
32.69	100
33.74	27
34.79	84
37.87	99
41.66	45
51.55	26
58.23	41
65.70	40